TbMnGe2Os: calculated powder X-ray diffraction pattern (Cu Kα (weighted mean of Kα1 and Kα2)), based on the PBE geometry in Alexandria.
Lines closer than 0.1° are merged.

Top 10 peaks for 2θ = 10–90°, by angle:
d 3.789, I = 31
d 2.678, I = 66
d 2.526, I = 100
d 2.026, I = 47
d 1.894, I = 26
d 1.616, I = 34
d 1.515, I = 16
d 1.432, I = 18
d 1.383, I = 18
d 1.246, I = 21

Crystal structure
Cell lengths 6.073, 6.073, 6.073 Å; angles 141.03, 141.03, 56.29 degrees
Sites, in units of the cell vectors:
Tb 0.000 0.000 0.000
Mn 0.750 0.250 0.500
Ge 0.381 0.381 0.000
Ge 0.619 0.619 0.000
Os 0.250 0.750 0.500



CaTb3Sm8: calculated powder X-ray diffraction pattern (Cu Kα (weighted mean of Kα1 and Kα2)), based on the PBE geometry in Alexandria.
Lines closer than 0.1° are merged.

Top 10 peaks for 2θ = 10–90°, by angle:
d 7.083, I = 45
d 4.333, I = 40
d 3.707, I = 57
d 3.541, I = 32
d 3.076, I = 66
d 3.049, I = 32
d 2.811, I = 42
d 2.732, I = 52
d 2.508, I = 100
d 1.635, I = 31

Crystal structure
Cell lengths 8.662, 8.662, 8.662 Å; angles 119.70, 119.70, 90.52 degrees
Sites, in units of the cell vectors:
Ca 0.000 0.000 0.000
Tb 0.250 0.750 0.500
Tb 0.500 0.500 0.000
Tb 0.750 0.250 0.500
Sm 0.138 0.138 0.714
Sm 0.216 0.681 0.000
Sm 0.319 0.319 0.535
Sm 0.424 0.424 0.286
Sm 0.576 0.862 0.000
Sm 0.681 0.216 0.000
Sm 0.784 0.784 0.465
Sm 0.862 0.576 0.000



Ca3Np3PdS8: calculated powder X-ray diffraction pattern (Cu Kα (weighted mean of Kα1 and Kα2)), based on the PBE geometry in Alexandria.
Lines closer than 0.1° are merged.

Top 10 peaks for 2θ = 10–90°, by angle:
d 6.600, I = 85
d 3.317, I = 49
d 3.185, I = 43
d 2.782, I = 100
d 2.564, I = 23
d 1.994, I = 37
d 1.942, I = 34
d 1.863, I = 22
d 1.675, I = 22
d 1.593, I = 18

Crystal structure
Cell lengths 7.980, 7.980, 7.980 Å; angles 58.26, 58.26, 58.26 degrees
Sites, in units of the cell vectors:
Ca 0.000 0.500 0.500
Ca 0.500 0.000 0.500
Ca 0.500 0.500 0.000
Np 0.000 0.000 0.500
Np 0.000 0.500 0.000
Np 0.500 0.000 0.000
Pd 0.500 0.500 0.500
S 0.245 0.746 0.746
S 0.249 0.249 0.249
S 0.254 0.254 0.755
S 0.254 0.755 0.254
S 0.746 0.245 0.746
S 0.746 0.746 0.245
S 0.751 0.751 0.751
S 0.755 0.254 0.254